Simulated X-ray diffraction stick pattern of Er2HfRu3 for Cu Kα, 1.54184 Å, from the PBE geometry in Alexandria.
No peak broadening, texture or thermal motion is included.

Cell and atoms:
a = 4.6886 Å, b = 4.6886 Å, c = 11.5617 Å
α = 90.00°, β = 90.00°, γ = 120.00°
Space group P-3m1 (No. 164)
One atom of each set of equivalent atoms:
1 Er 0.0000 0.0000 0.0000 [1 per cell]
2 Er 0.0000 0.0000 0.5000 [1 per cell]
3 Er 0.3333 0.6667 0.1691 [2 per cell]
4 Hf 0.3333 0.6667 0.6649 [2 per cell]
5 Ru 0.0000 0.0000 0.2578 [2 per cell]
6 Ru 0.3333 0.6667 0.4177 [2 per cell]
7 Ru 0.3333 0.6667 0.9080 [2 per cell]

Principal peaks in the range 2θ from 10° to 90°, low angle first:
2θ 26.83, I 14; 2θ 38.22, I 100; 2θ 38.40, I 100; 2θ 47.46, I 3; 2θ 55.30, I 34; 2θ 68.97, I 17; 2θ 69.32, I 35; 2θ 69.44, I 17; 2θ 81.81, I 11; 2θ 82.25, I 11

Simulated X-ray diffraction stick pattern of CaBeSi for Cu Kα, 1.54184 Å, from the PBE geometry in Alexandria.
No peak broadening, texture or thermal motion is included.

Cell and atoms:
a = 3.9311 Å, b = 4.2575 Å, c = 6.8473 Å
α = 90.00°, β = 90.00°, γ = 90.00°
Space group Pmmm (No. 47)
One atom of each set of equivalent atoms:
1 Ca 0.0000 0.0000 0.0000 [1 per cell]
2 Ca 0.5000 0.0000 0.5000 [1 per cell]
3 Be 0.0000 0.5000 0.3347 [2 per cell]
4 Si 0.5000 0.5000 0.1761 [2 per cell]

Principal peaks in the range 2θ from 10° to 90°, low angle first:
2θ 22.62, I 7; 2θ 26.14, I 13; 2θ 33.65, I 100; 2θ 42.46, I 14; 2θ 45.98, I 21; 2θ 46.19, I 11; 2θ 58.31, I 13; 2θ 64.37, I 15; 2θ 64.53, I 7; 2θ 72.07, I 9

Simulated X-ray diffraction stick pattern of Tb2Dy2YMg2 for Cu Kα, 1.54184 Å, from the PBE geometry in Alexandria.
No peak broadening, texture or thermal motion is included.

Cell and atoms:
a = 5.4414 Å, b = 5.4414 Å, c = 24.0353 Å
α = 90.00°, β = 90.00°, γ = 120.00°
Space group R-3m (No. 166, hexagonal axes)
One atom of each set of equivalent atoms:
1 Tb 0.0000 0.0000 0.1554 [6 per cell]
2 Dy 0.0000 0.0000 0.4270 [6 per cell]
3 Y 0.0000 0.0000 0.0000 [3 per cell]
4 Mg 0.0000 0.0000 0.2897 [6 per cell]

Principal peaks in the range 2θ from 10° to 90°, low angle first:
2θ 11.04, I 40; 2θ 26.49, I 27; 2θ 32.26, I 93; 2θ 32.92, I 100; 2θ 34.82, I 17; 2θ 46.76, I 33; 2θ 57.10, I 28; 2θ 58.37, I 34; 2θ 58.78, I 19; 2θ 78.26, I 19

Simulated X-ray diffraction stick pattern of CePa2 for Cu Kα, 1.54184 Å, from the PBE geometry in Alexandria.
No peak broadening, texture or thermal motion is included.

Cell and atoms:
a = 3.2780 Å, b = 4.7022 Å, c = 9.8938 Å
α = 90.00°, β = 90.95°, γ = 90.00°
Space group P2_1/m (No. 11)
One atom of each set of equivalent atoms:
1 Ce 0.2505 0.2500 0.0833 [2 per cell]
2 Pa 0.2476 0.2500 0.7482 [2 per cell]
3 Pa 0.2521 0.2500 0.4162 [2 per cell]

Principal peaks in the range 2θ from 10° to 90°, low angle first:
2θ 33.18, I 100; 2θ 33.32, I 99; 2θ 38.28, I 35; 2θ 38.40, I 34; 2θ 39.07, I 32; 2θ 55.34, I 24; 2θ 55.82, I 35; 2θ 66.05, I 43; 2θ 66.32, I 14; 2θ 66.98, I 14

Simulated X-ray diffraction stick pattern of BeIn3Os for Cu Kα, 1.54184 Å, from the PBE geometry in Alexandria.
No peak broadening, texture or thermal motion is included.

Cell and atoms:
a = 5.1939 Å, b = 5.1939 Å, c = 5.1939 Å
α = 90.00°, β = 90.00°, γ = 90.00°
Space group Pm-3m (No. 221)
One atom of each set of equivalent atoms:
1 Be 0.0000 0.0000 0.0000 [1 per cell]
2 In 0.0000 0.5000 0.5000 [3 per cell]
3 Os 0.5000 0.5000 0.5000 [1 per cell]

Principal peaks in the range 2θ from 10° to 90°, low angle first:
2θ 17.07, I 100; 2θ 29.79, I 12; 2θ 34.54, I 60; 2θ 38.77, I 52; 2θ 49.65, I 42; 2θ 52.88, I 27; 2θ 61.88, I 14; 2θ 64.71, I 12; 2θ 75.47, I 15; 2θ 83.18, I 19

Simulated X-ray diffraction stick pattern of K2ZnCl for Cu Kα, 1.54184 Å, from the PBE geometry in Alexandria.
No peak broadening, texture or thermal motion is included.

Cell and atoms:
a = 18.8111 Å, b = 3.8824 Å, c = 4.1695 Å
α = 90.00°, β = 102.73°, γ = 90.00°
Space group Cm (No. 8)
One atom of each set of equivalent atoms:
1 K 0.0000 0.0000 0.0000 [2 per cell]
2 K 0.2118 0.0000 0.7100 [2 per cell]
3 Zn 0.3789 0.0000 0.3816 [2 per cell]
4 Cl 0.1357 0.5000 0.1344 [2 per cell]

Principal peaks in the range 2θ from 10° to 90°, low angle first:
2θ 19.35, I 18; 2θ 23.42, I 23; 2θ 25.86, I 75; 2θ 27.21, I 30; 2θ 32.50, I 23; 2θ 33.00, I 100; 2θ 33.60, I 47; 2θ 43.43, I 26; 2θ 54.24, I 17; 2θ 55.99, I 19